Computed powder diffraction line list of BaMnOF5 for Cu Kα X-rays, from a DFT-relaxed cell (PBE+U, Alexandria).
Kinematic intensities with the Lorentz-polarization factor, no thermal factor.

Main lines, most intense first (2θ = 5–70°):
21.47 deg, I = 100, hkl 1 1 -1; 27.35 deg, I = 94, hkl 1 2 0; 27.05 deg, I = 89, hkl 0 2 1; 19.23 deg, I = 75, hkl 0 1 1; 26.49 deg, I = 72, hkl 1 0 1; 18.47 deg, I = 62, hkl 1 0 -1; 47.47 deg, I = 45, hkl 2 2 1; 38.03 deg, I = 40, hkl 1 3 -1; 33.24 deg, I = 40, hkl 2 1 -1; 34.83 deg, I = 36, hkl 2 1 0

Structure:
```
BaMnOF5
1.0
5.777 0.000 0.000
0.000 8.156 0.000
-2.034 0.000 5.598
Ba Mn O F
2 2 2 10
direct
0.069 0.250 0.374
0.931 0.750 0.626
0.500 0.000 0.000
0.500 0.500 0.000
0.381 0.750 0.438
0.619 0.250 0.562
0.198 0.039 0.741
0.198 0.461 0.741
0.342 0.048 0.219
0.342 0.452 0.219
0.372 0.750 0.984
0.628 0.250 0.016
0.658 0.548 0.781
0.658 0.952 0.781
0.802 0.539 0.259
0.802 0.961 0.259
```